(1)
Pr4CuSeS2: simulated XRD peak list (a wavelength of 1.5418 Å), based on a PBE-relaxed structure.
Peak positions follow from Bragg's law for the DFT cell and can differ from measured ones.

Structure:
```
data_Pr4CuSeS2
_cell_length_a 5.9152
_cell_length_b 5.9152
_cell_length_c 11.7826
_cell_angle_alpha 90.00
_cell_angle_beta 90.00
_cell_angle_gamma 90.00
_symmetry_space_group_name_H-M 'I -4 m 2'
_symmetry_Int_Tables_number 119
_symmetry_space_group_name_Hall 'I -4 -2'
loop_
_atom_site_label
_atom_site_type_symbol
_atom_site_fract_x
_atom_site_fract_y
_atom_site_fract_z
Pr1 Pr 0.0000 0.0000 0.2434
Pr2 Pr 0.0000 0.5000 0.0046
Cu1 Cu 0.0000 0.0000 0.5000
Se1 Se 0.0000 0.5000 0.7500
S1 S 0.0000 0.0000 0.0000
S2 S 0.0000 0.5000 0.2500
```

Peak list (10 most intense, 2θ from 10° to 90°, by angle)
d (Å)	2theta	Rel. int.
3.411	26.13	52
2.958	30.22	92
2.946	30.34	45
2.089	43.32	100
1.783	51.24	17
1.705	53.75	35
1.479	62.84	11
1.322	71.34	30
1.318	71.57	14
1.207	79.42	22

---

(2)
Ac3LaNd6: simulated XRD peak list (a wavelength of 1.5418 Å), based on a PBE-relaxed structure.
Peak positions follow from Bragg's law for the DFT cell and can differ from measured ones.

Structure:
```
data_Ac3LaNd6
_cell_length_a 6.8017
_cell_length_b 6.8017
_cell_length_c 9.5123
_cell_angle_alpha 90.00
_cell_angle_beta 90.00
_cell_angle_gamma 120.00
_symmetry_space_group_name_H-M 'P -3 1 m'
_symmetry_Int_Tables_number 162
_symmetry_space_group_name_Hall '-P 3 2'
loop_
_atom_site_label
_atom_site_type_symbol
_atom_site_fract_x
_atom_site_fract_y
_atom_site_fract_z
Ac1 Ac 0.0000 0.0000 0.0000
Ac2 Ac 0.3333 0.6667 0.0000
La1 La 0.0000 0.0000 0.5000
Nd1 Nd 0.0000 0.4031 0.3197
```

Peak list (10 most intense, 2θ from 10° to 90°, by angle)
d (Å)	2theta	Rel. int.
3.401	26.20	12
3.202	27.86	87
3.171	28.14	34
2.945	30.35	18
2.766	32.36	100
1.963	46.24	22
1.949	46.60	31
1.669	55.01	16
1.660	55.33	14
1.601	57.56	11

---

(3)
NbNiPd: simulated XRD peak list (a wavelength of 1.5418 Å), based on a PBE-relaxed structure.
Peak positions follow from Bragg's law for the DFT cell and can differ from measured ones.

Structure:
```
data_NbNiPd
_cell_length_a 2.7838
_cell_length_b 14.2536
_cell_length_c 4.4599
_cell_angle_alpha 90.00
_cell_angle_beta 90.00
_cell_angle_gamma 90.00
_symmetry_space_group_name_H-M 'C m c m'
_symmetry_Int_Tables_number 63
_symmetry_space_group_name_Hall '-C 2c 2'
loop_
_atom_site_label
_atom_site_type_symbol
_atom_site_fract_x
_atom_site_fract_y
_atom_site_fract_z
Nb1 Nb 0.0000 0.1208 0.2500
Ni1 Ni 0.0000 0.2229 0.7500
Pd1 Pd 0.0000 0.4430 0.2500
```

Peak list (10 most intense, 2θ from 10° to 90°, by angle)
d (Å)	2theta	Rel. int.
2.402	37.44	31
2.230	40.45	42
2.115	42.76	100
2.097	43.15	56
1.634	56.29	18
1.377	68.12	15
1.264	75.16	18
1.181	81.52	10
1.171	82.32	18
1.160	83.33	15

---

(4)
RbCaZnCl5: simulated XRD peak list (a wavelength of 1.5418 Å), based on a PBE-relaxed structure.
Peak positions follow from Bragg's law for the DFT cell and can differ from measured ones.

Structure:
```
data_RbCaZnCl5
_cell_length_a 9.1689
_cell_length_b 12.1430
_cell_length_c 9.9170
_cell_angle_alpha 90.00
_cell_angle_beta 113.93
_cell_angle_gamma 90.00
_symmetry_space_group_name_H-M 'C 1 2/c 1'
_symmetry_Int_Tables_number 15
loop_
_symmetry_equiv_pos_as_xyz
'x,y,z'
'-x,-y,-z'
'-x,y,-z+1/2'
'x,-y,z+1/2'
'x+1/2,y+1/2,z'
'-x+1/2,-y+1/2,-z'
'-x+1/2,y+1/2,-z+1/2'
'x+1/2,-y+1/2,z+1/2'
loop_
_atom_site_label
_atom_site_type_symbol
_atom_site_fract_x
_atom_site_fract_y
_atom_site_fract_z
Rb1 Rb 0.0000 0.1573 0.2500
Ca1 Ca 0.0000 0.5000 0.0000
Zn1 Zn 0.0000 0.1867 0.7500
Cl1 Cl 0.0000 0.4213 0.2500
Cl2 Cl 0.1084 0.2902 0.6196
Cl3 Cl 0.1834 0.0717 0.9221
```

Peak list (10 most intense, 2θ from 10° to 90°, by angle)
d (Å)	2theta	Rel. int.
4.544	19.53	100
4.190	21.20	73
3.987	22.30	36
3.646	24.42	61
3.632	24.51	40
3.191	27.97	76
3.122	28.59	31
2.299	39.18	38
2.097	43.14	38
1.993	45.50	30

---

(5)
CaZn7Ir5: simulated XRD peak list (a wavelength of 1.5418 Å), based on a PBE-relaxed structure.
Peak positions follow from Bragg's law for the DFT cell and can differ from measured ones.

Structure:
```
data_CaZn7Ir5
_cell_length_a 5.5336
_cell_length_b 8.8447
_cell_length_c 8.5961
_cell_angle_alpha 90.00
_cell_angle_beta 90.00
_cell_angle_gamma 90.00
_symmetry_space_group_name_H-M 'I m m 2'
_symmetry_Int_Tables_number 44
loop_
_symmetry_equiv_pos_as_xyz
'x,y,z'
'-x,-y,z'
'-x,y,z'
'x,-y,z'
'x+1/2,y+1/2,z+1/2'
'-x+1/2,-y+1/2,z+1/2'
'-x+1/2,y+1/2,z+1/2'
'x+1/2,-y+1/2,z+1/2'
loop_
_atom_site_label
_atom_site_type_symbol
_atom_site_fract_x
_atom_site_fract_y
_atom_site_fract_z
Ca1 Ca 0.0000 0.0000 0.0000
Zn1 Zn 0.0000 0.0000 0.3358
Zn2 Zn 0.0000 0.0000 0.6661
Zn3 Zn 0.0000 0.2878 0.5018
Zn4 Zn 0.0000 0.3365 0.0080
Zn5 Zn 0.0000 0.5000 0.7344
Ir1 Ir 0.0000 0.5000 0.2652
Ir2 Ir 0.2445 0.2534 0.7554
```

Peak list (10 most intense, 2θ from 10° to 90°, by angle)
d (Å)	2theta	Rel. int.
4.422	20.08	30
4.298	20.67	64
2.346	38.38	48
2.326	38.70	27
2.226	40.53	17
2.211	40.81	29
2.149	42.04	29
2.059	43.98	100
1.966	46.17	31
1.585	58.23	17